# 1
For YAlFe, a structure optimized by DFT (PBE) gives the simulated X-ray diffraction stick pattern in this record (CuKα).

a b c (Å): 8.738 5.390 9.166
angles (deg): 90.00 90.00 90.00
Space group Amm2 (No. 38)
One atom of each set of equivalent atoms:
Y 0.177 0.000 0.000 [4 per cell]
Y 0.305 0.000 0.335 [4 per cell]
Al 0.236 0.000 0.674 [4 per cell]
Al 0.500 0.247 0.082 [4 per cell]
Fe 0.000 0.000 0.496 [2 per cell]
Fe 0.000 0.233 0.256 [4 per cell]
Fe 0.500 0.000 0.836 [2 per cell]

Largest 10 diffraction maxima, sorted by position, 10 to 90 degrees two-theta:
- 2θ = 10.12°, rel. 25, (1 0 0)
- 2θ = 33.24°, rel. 27, (0 2 0)
- 2θ = 33.72°, rel. 34, (0 1 3)
- 2θ = 36.41°, rel. 100, (3 1 1)
- 2θ = 36.55°, rel. 36, (3 0 2)
- 2θ = 39.29°, rel. 41, (2 2 0)
- 2θ = 39.69°, rel. 85, (2 1 3)
- 2θ = 40.17°, rel. 65, (1 2 2)
- 2θ = 40.70°, rel. 31, (1 0 4)
- 2θ = 67.01°, rel. 26, (5 2 2)


# 2
For SmAl5, a structure optimized by DFT (PBE) gives the simulated X-ray diffraction stick pattern in this record (CuKα).

a b c (Å): 5.4484 5.4484 17.8551
angles (deg): 90.00 90.00 120.00
Space group P6_322 (No. 182)
One atom of each set of equivalent atoms:
Sm 0.3333 0.6667 0.1494 [4 per cell]
Al 0.0000 0.0000 0.1156 [4 per cell]
Al 0.0000 0.3418 0.5000 [6 per cell]
Al 0.1652 0.3304 0.7500 [6 per cell]
Al 0.3333 0.6667 0.6194 [4 per cell]

Largest 10 diffraction maxima, sorted by position, 10 to 90 degrees two-theta:
- 2θ = 18.81°, rel. 21, (1 0 0)
- 2θ = 19.46°, rel. 75, (1 0 1)
- 2θ = 19.89°, rel. 18, (0 0 4)
- 2θ = 27.51°, rel. 17, (1 0 4)
- 2θ = 31.42°, rel. 66, (1 0 5)
- 2θ = 32.88°, rel. 52, (1 1 0)
- 2θ = 38.49°, rel. 36, (2 0 1)
- 2θ = 38.72°, rel. 100, (1 1 4)
- 2θ = 57.79°, rel. 24, (2 1 5)
- 2θ = 58.70°, rel. 18, (3 0 0)


# 3
For ReO5, a structure optimized by DFT (PBE) gives the simulated X-ray diffraction stick pattern in this record (CuKα).

a b c (Å): 5.404 5.404 12.336
angles (deg): 90.00 90.00 90.00
Space group I4_1/a (No. 88, origin choice 2)
One atom of each set of equivalent atoms:
Re 0.000 0.250 0.125 [4 per cell]
O 0.000 0.250 0.625 [4 per cell]
O 0.135 0.481 0.206 [16 per cell]

Largest 10 diffraction maxima, sorted by position, 10 to 90 degrees two-theta:
- 2θ = 17.92°, rel. 100, (1 0 1)
- 2θ = 27.25°, rel. 39, (1 0 3)
- 2θ = 27.46°, rel. 93, (1 1 2)
- 2θ = 33.15°, rel. 18, (2 0 0)
- 2θ = 37.94°, rel. 26, (1 2 1)
- 2θ = 43.43°, rel. 15, (2 1 3)
- 2θ = 44.58°, rel. 28, (2 0 4)
- 2θ = 50.40°, rel. 16, (1 1 6)
- 2θ = 53.04°, rel. 14, (2 1 5)
- 2θ = 55.82°, rel. 24, (1 3 2)


# 4
For Mg14AlSi, a structure optimized by DFT (PBE) gives the simulated X-ray diffraction stick pattern in this record (CuKα).

a b c (Å): 10.185 6.367 10.727
angles (deg): 90.00 90.00 90.00
Space group Amm2 (No. 38)
One atom of each set of equivalent atoms:
Mg 0.000 0.000 0.000 [2 per cell]
Mg 0.000 0.000 0.500 [2 per cell]
Mg 0.000 0.249 0.251 [4 per cell]
Mg 0.251 0.000 0.666 [4 per cell]
Mg 0.254 0.000 0.165 [4 per cell]
Mg 0.259 0.250 0.420 [8 per cell]
Mg 0.500 0.249 0.749 [4 per cell]
Al 0.500 0.000 0.504 [2 per cell]
Si 0.500 0.000 0.002 [2 per cell]

Largest 10 diffraction maxima, sorted by position, 10 to 90 degrees two-theta:
- 2θ = 32.71°, rel. 24, (0 2 2)
- 2θ = 33.41°, rel. 11, (0 0 4)
- 2θ = 35.25°, rel. 39, (4 0 0)
- 2θ = 37.29°, rel. 100, (2 2 2)
- 2θ = 37.92°, rel. 47, (2 0 4)
- 2θ = 48.85°, rel. 15, (4 2 2)
- 2θ = 59.28°, rel. 16, (0 2 6)
- 2θ = 64.60°, rel. 18, (6 2 2)
- 2θ = 70.88°, rel. 18, (4 2 6)
- 2θ = 71.35°, rel. 14, (2 4 4)


# 5
For YCuSb2, a structure optimized by DFT (PBE) gives the simulated X-ray diffraction stick pattern in this record (CuKα).

a b c (Å): 4.320 4.320 9.852
angles (deg): 90.00 90.00 90.00
Space group P4/nmm (No. 129, origin choice 2)
One atom of each set of equivalent atoms:
Y 0.250 0.250 0.249 [2 per cell]
Cu 0.250 0.750 0.000 [2 per cell]
Sb 0.250 0.250 0.839 [2 per cell]
Sb 0.250 0.750 0.500 [2 per cell]

Largest 10 diffraction maxima, sorted by position, 10 to 90 degrees two-theta:
- 2θ = 27.15°, rel. 13, (0 0 3)
- 2θ = 27.46°, rel. 19, (1 0 2)
- 2θ = 30.64°, rel. 17, (1 1 1)
- 2θ = 34.55°, rel. 100, (1 1 2)
- 2θ = 41.82°, rel. 42, (2 0 0)
- 2θ = 47.42°, rel. 11, (1 1 4)
- 2θ = 50.94°, rel. 12, (1 0 5)
- 2θ = 60.63°, rel. 14, (2 2 0)
- 2θ = 67.96°, rel. 10, (2 1 5)
- 2θ = 71.70°, rel. 22, (3 1 2)


# 6
For Nb3V3Ge2, a structure optimized by DFT (PBE) gives the simulated X-ray diffraction stick pattern in this record (CuKα).

a b c (Å): 7.0620 7.0620 8.6600
angles (deg): 90.00 90.00 120.00
Space group R32 (No. 155, hexagonal axes)
One atom of each set of equivalent atoms:
Nb 0.0000 0.7488 0.0000 [9 per cell]
V 0.0000 0.2503 0.5000 [9 per cell]
Ge 0.0000 0.0000 0.2532 [6 per cell]

Largest 10 diffraction maxima, sorted by position, 10 to 90 degrees two-theta:
- 2θ = 25.22°, rel. 9, (1 1 0)
- 2θ = 30.99°, rel. 6, (0 0 3)
- 2θ = 35.95°, rel. 35, (2 0 2)
- 2θ = 40.37°, rel. 100, (1 1 3)
- 2θ = 44.42°, rel. 81, (1 2 2)
- 2θ = 64.63°, rel. 7, (0 0 6)
- 2θ = 67.61°, rel. 20, (3 2 1)
- 2θ = 70.54°, rel. 39, (2 3 2)
- 2θ = 76.23°, rel. 14, (4 0 4)
- 2θ = 87.28°, rel. 10, (4 2 2)


# 7
For NaNbCl6, a structure optimized by DFT (PBE) gives the simulated X-ray diffraction stick pattern in this record (CuKα).

a b c (Å): 6.657 7.078 19.927
angles (deg): 90.00 90.51 90.00
Space group P2_1/c (No. 14)
One atom of each set of equivalent atoms:
Na 0.211 0.189 0.253 [4 per cell]
Nb 0.257 0.717 0.617 [4 per cell]
Cl 0.035 0.041 0.842 [4 per cell]
Cl 0.082 0.502 0.158 [4 per cell]
Cl 0.114 0.747 0.012 [4 per cell]
Cl 0.386 0.680 0.735 [4 per cell]
Cl 0.407 0.070 0.091 [4 per cell]
Cl 0.460 0.103 0.406 [4 per cell]

Largest 10 diffraction maxima, sorted by position, 10 to 90 degrees two-theta:
- 2θ = 15.36°, rel. 100, (0 1 2)
- 2θ = 15.95°, rel. 43, (1 0 -2)
- 2θ = 16.08°, rel. 49, (1 0 2)
- 2θ = 17.81°, rel. 24, (0 0 4)
- 2θ = 18.30°, rel. 48, (1 1 0)
- 2θ = 29.95°, rel. 46, (1 2 -2)
- 2θ = 30.18°, rel. 38, (1 0 6)
- 2θ = 30.95°, rel. 34, (2 1 -2)
- 2θ = 37.09°, rel. 21, (2 2 0)
- 2θ = 40.83°, rel. 23, (1 1 8)